Entry 1:
# SmHo2In2
Simulated powder diffraction line list, a wavelength of 1.5418 Å. Input: DFT lattice parameters and positions (PBE).
Intensities are scaled so that the largest is 100.

Lattice parameters (Å, degrees): 3.7601 5.3815 14.0306 90.00 97.71 90.00
Atoms (fractional coordinates):
Sm (0.1473, 0.2500, 0.2965)
Sm (0.8527, 0.7500, 0.7035)
Ho (0.0488, 0.7500, 0.0969)
Ho (0.2365, 0.7500, 0.4735)
Ho (0.7635, 0.2500, 0.5265)
Ho (0.9512, 0.2500, 0.9031)
In (0.3570, 0.2500, 0.7130)
In (0.4514, 0.7500, 0.9041)
In (0.5486, 0.2500, 0.0959)
In (0.6430, 0.7500, 0.2870)

Main lines, in order of falling intensity (2θ = 10–90°):
| Position (°2θ) | d (Å) | intensity |
| --- | --- | --- |
| 33.25 | 2.695 | 100 |
| 32.19 | 2.781 | 19 |
| 59.46 | 1.554 | 15 |
| 46.99 | 1.934 | 13 |
| 58.06 | 1.589 | 11 |
| 69.77 | 1.348 | 8 |
| 60.03 | 1.541 | 8 |
| 48.42 | 1.880 | 7 |
| 59.34 | 1.557 | 6 |
| 80.57 | 1.192 | 6 |

***

Entry 2:
# AcCd2InPb
Simulated powder diffraction line list, a wavelength of 1.5418 Å. Input: DFT lattice parameters and positions (PBE).
Intensities are scaled so that the largest is 100.

Lattice parameters (Å, degrees): 8.4814 8.4814 6.9169 90.00 90.00 144.30
Atoms (fractional coordinates):
Ac (0.0998, 0.9002, 0.7500)
Ac (0.9002, 0.0998, 0.2500)
Cd (0.3000, 0.7000, 0.5026)
Cd (0.3000, 0.7000, 0.9974)
Cd (0.7000, 0.3000, 0.0026)
Cd (0.7000, 0.3000, 0.4974)
In (0.5000, 0.5000, 0.0000)
In (0.5000, 0.5000, 0.5000)
Pb (0.1222, 0.8778, 0.2500)
Pb (0.8778, 0.1222, 0.7500)

Main lines, in order of falling intensity (2θ = 10–90°):
| Position (°2θ) | d (Å) | intensity |
| --- | --- | --- |
| 31.56 | 2.835 | 100 |
| 32.64 | 2.743 | 91 |
| 34.14 | 2.626 | 50 |
| 34.50 | 2.600 | 45 |
| 49.32 | 1.848 | 36 |
| 63.61 | 1.463 | 27 |
| 35.35 | 2.539 | 21 |
| 60.83 | 1.523 | 16 |
| 59.98 | 1.542 | 16 |
| 60.64 | 1.527 | 15 |